For Cs2ThPaSe6, a structure optimized by DFT (GGA-PBE) gives the simulated powder XRD pattern in this record (Cu Kα).

abc: 7.9846 11.2922 7.9862
angles: 90.00 90.00 90.00
Space group Pmmn (No. 59, origin choice 2)
Unique sites:
1 Cs 0.2500 0.9999 0.2499 (multiplicity 4)
2 Th 0.2500 0.2500 0.7502 (multiplicity 2)
3 Pa 0.2500 0.7500 0.7497 (multiplicity 2)
4 Se 0.0053 0.7500 0.5051 (multiplicity 4)
5 Se 0.0053 0.7500 0.9944 (multiplicity 4)
6 Se 0.2500 0.5054 0.7494 (multiplicity 4)

Peak list (12 most intense, 2θ from 15° to 90°, by angle)
two_theta	Rel. int.	hkl
15.7	45	1 0 1
22.3	100	2 0 0
31.7	98	2 0 2
35.6	25	3 0 1
39.1	48	3 2 1
45.4	72	4 0 0
51.2	23	4 0 2
56.5	25	4 4 0
61.4	26	5 2 1
75.3	32	6 0 2
84.0	25	6 4 2
88.2	15	6 0 4